Computed powder XRD pattern
Compound: LiGe2Pt3
Radiation: CuKα
Structure: a cell relaxed with PBE

Cell and atoms:
```
data_LiGe2Pt3
_chemical_formula_sum 'Li2 Ge4 Pt6'
_cell_length_a 4.2143
_cell_length_b 11.0792
_cell_length_c 4.3269
_cell_angle_alpha 90.00
_cell_angle_beta 90.00
_cell_angle_gamma 90.00
_symmetry_space_group_name_H-M 'I m m 2'
_symmetry_Int_Tables_number 44
_symmetry_space_group_name_Hall 'I 2 -2'
loop_
_atom_site_label
_atom_site_type_symbol
_atom_site_fract_x
_atom_site_fract_y
_atom_site_fract_z
Li1 Li 0.0000 0.0000 0.0000
Ge1 Ge 0.0000 0.3449 0.6422
Pt1 Pt 0.0000 0.1327 0.4700
Pt2 Pt 0.0000 0.5000 0.2154
```

Most intense lines, 10 to 90 degrees two-theta, in order of rising 2θ:
4.030 Å, I = 62, (0 1 1); 3.019 Å, I = 100, (1 0 1); 2.809 Å, I = 66, (0 3 1); 2.776 Å, I = 64, (1 3 0); 2.651 Å, I = 45, (1 2 1); 2.107 Å, I = 49, (2 0 0); 2.041 Å, I = 92, (1 4 1); 1.896 Å, I = 69, (1 1 2); 1.705 Å, I = 34, (0 4 2); 1.686 Å, I = 29, (2 3 1); 1.325 Å, I = 25, (2 4 2); 1.222 Å, I = 25, (1 7 2)

---

Computed powder XRD pattern
Compound: HoPBr
Radiation: CuKα
Structure: a cell relaxed with PBE

Cell and atoms:
```
data_HoPBr
_chemical_formula_sum 'Ho2 P2 Br2'
_cell_length_a 3.8727
_cell_length_b 5.0356
_cell_length_c 10.6360
_cell_angle_alpha 78.40
_cell_angle_beta 80.24
_cell_angle_gamma 68.29
_symmetry_space_group_name_H-M 'P -1'
_symmetry_Int_Tables_number 2
_symmetry_space_group_name_Hall '-P 1'
loop_
_atom_site_label
_atom_site_type_symbol
_atom_site_fract_x
_atom_site_fract_y
_atom_site_fract_z
Ho1 Ho 0.1784 0.2873 0.3638
P1 P 0.4819 0.6872 0.4233
Br1 Br 0.2021 0.7960 0.8227
```

Most intense lines, 10 to 90 degrees two-theta, in order of rising 2θ:
4.483 Å, I = 45, (0 1 1); 4.004 Å, I = 100, (0 1 -1); 3.100 Å, I = 59, (1 0 2); 2.810 Å, I = 52, (1 0 -2); 2.765 Å, I = 53, (1 1 3); 2.590 Å, I = 23, (0 0 4); 2.387 Å, I = 33, (-1 1 1); 2.346 Å, I = 31, (1 2 2); 2.312 Å, I = 26, (0 2 0); 2.222 Å, I = 18, (1 1 -3); 1.989 Å, I = 18, (1 -1 3); 1.936 Å, I = 20, (2 1 1)

---

Computed powder XRD pattern
Compound: Pm2Te5
Radiation: CuKα
Structure: a cell relaxed with PBE

Cell and atoms:
```
data_Pm2Te5
_chemical_formula_sum 'Pm8 Te20'
_cell_length_a 4.4239
_cell_length_b 45.5523
_cell_length_c 4.4238
_cell_angle_alpha 90.00
_cell_angle_beta 90.00
_cell_angle_gamma 90.00
_symmetry_space_group_name_H-M 'C m c m'
_symmetry_Int_Tables_number 63
_symmetry_space_group_name_Hall '-C 2c 2'
loop_
_atom_site_label
_atom_site_type_symbol
_atom_site_fract_x
_atom_site_fract_y
_atom_site_fract_z
Pm1 Pm 0.0000 0.1014 0.2500
Pm2 Pm 0.0000 0.3062 0.2500
Te1 Te 0.0000 0.0465 0.7500
Te2 Te 0.0000 0.1744 0.2500
Te3 Te 0.0000 0.2500 0.7500
Te4 Te 0.0000 0.3771 0.2500
Te5 Te 0.0000 0.4535 0.7500
```

Most intense lines, 10 to 90 degrees two-theta, in order of rising 2θ:
3.254 Å, I = 31, (0 14 0); 3.121 Å, I = 18, (1 1 1); 2.959 Å, I = 100, (1 5 1); 2.661 Å, I = 45, (1 9 1); 2.621 Å, I = 16, (0 14 1); 2.504 Å, I = 18, (1 15 0); 2.496 Å, I = 28, (1 11 1); 2.212 Å, I = 55, (2 0 0); 1.829 Å, I = 24, (2 14 0); 1.564 Å, I = 19, (2 0 2); 1.383 Å, I = 19, (3 5 1); 1.348 Å, I = 11, (3 9 1)

---

Computed powder XRD pattern
Compound: Ac5La2Nd2
Radiation: CuKα
Structure: a cell relaxed with PBE

Cell and atoms:
```
data_Ac5La2Nd2
_chemical_formula_sum 'Ac5 La2 Nd2'
_cell_length_a 5.4735
_cell_length_b 6.7190
_cell_length_c 11.5933
_cell_angle_alpha 73.54
_cell_angle_beta 76.41
_cell_angle_gamma 65.97
_symmetry_space_group_name_H-M 'P -1'
_symmetry_Int_Tables_number 2
_symmetry_space_group_name_Hall '-P 1'
loop_
_atom_site_label
_atom_site_type_symbol
_atom_site_fract_x
_atom_site_fract_y
_atom_site_fract_z
Ac1 Ac 0.0000 0.0000 0.0000
Ac2 Ac 0.3340 0.7780 0.5544
Ac3 Ac 0.3359 0.4416 0.8860
La1 La 0.9998 0.3339 0.6672
Nd1 Nd 0.3306 0.1138 0.2249
```

Most intense lines, 10 to 90 degrees two-theta, in order of rising 2θ:
3.163 Å, I = 100, (1 2 2); 2.750 Å, I = 17, (0 2 -1); 2.734 Å, I = 34, (2 1 1); 1.940 Å, I = 19, (2 3 0); 1.935 Å, I = 13, (0 3 3); 1.932 Å, I = 6, (2 2 5); 1.657 Å, I = 16, (1 4 1); 1.650 Å, I = 19, (3 3 3); 1.648 Å, I = 11, (1 3 6); 1.582 Å, I = 10, (2 0 6); 1.258 Å, I = 9, (3 5 2); 1.254 Å, I = 5, (3 4 7)

---

Computed powder XRD pattern
Compound: Pm7PCl12
Radiation: CuKα
Structure: a cell relaxed with PBE

Cell and atoms:
```
data_Pm7PCl12
_chemical_formula_sum 'Pm21 P3 Cl36'
_cell_length_a 14.5490
_cell_length_b 14.5490
_cell_length_c 9.8316
_cell_angle_alpha 90.00
_cell_angle_beta 90.00
_cell_angle_gamma 120.00
_symmetry_space_group_name_H-M 'R -3'
_symmetry_Int_Tables_number 148
_symmetry_space_group_name_Hall '-R 3'
loop_
_atom_site_label
_atom_site_type_symbol
_atom_site_fract_x
_atom_site_fract_y
_atom_site_fract_z
Pm1 Pm 0.0000 0.0000 0.0000
Pm2 Pm 0.0434 0.8742 0.3461
P1 P 0.0000 0.0000 0.5000
Cl1 Cl 0.0249 0.4410 0.1616
Cl2 Cl 0.0449 0.8715 0.8375
```

Most intense lines, 10 to 90 degrees two-theta, in order of rising 2θ:
7.751 Å, I = 26, (1 0 1); 7.275 Å, I = 65, (1 1 0); 5.304 Å, I = 17, (0 2 1); 4.286 Å, I = 19, (2 1 1); 3.420 Å, I = 13, (3 -2 2); 3.293 Å, I = 26, (1 3 1); 2.988 Å, I = 15, (1 1 3); 2.848 Å, I = 100, (4 -1 2); 2.018 Å, I = 34, (5 2 0); 2.010 Å, I = 35, (1 3 4); 1.646 Å, I = 17, (2 6 2); 1.276 Å, I = 14, (9 1 2)

---

Computed powder XRD pattern
Compound: Pa3BiS8
Radiation: CuKα
Structure: a cell relaxed with PBE

Cell and atoms:
```
data_Pa3BiS8
_chemical_formula_sum 'Pa9 Bi3 S24'
_cell_length_a 8.1410
_cell_length_b 8.1410
_cell_length_c 19.9113
_cell_angle_alpha 90.00
_cell_angle_beta 90.00
_cell_angle_gamma 120.00
_symmetry_space_group_name_H-M 'R -3 m'
_symmetry_Int_Tables_number 166
_symmetry_space_group_name_Hall '-R 3 2"'
loop_
_atom_site_label
_atom_site_type_symbol
_atom_site_fract_x
_atom_site_fract_y
_atom_site_fract_z
Pa1 Pa 0.0000 0.5000 0.0000
Bi1 Bi 0.0000 0.0000 0.5000
S1 S 0.0000 0.0000 0.2644
S2 S 0.0271 0.5135 0.2593
```

Most intense lines, 10 to 90 degrees two-theta, in order of rising 2θ:
6.643 Å, I = 100, (0 0 3); 3.470 Å, I = 54, (0 2 1); 3.322 Å, I = 33, (0 0 6); 2.877 Å, I = 59, (0 2 4); 2.640 Å, I = 22, (1 0 7); 2.215 Å, I = 27, (0 2 7); 2.034 Å, I = 42, (2 2 0); 1.945 Å, I = 27, (2 2 3); 1.735 Å, I = 20, (0 2 10); 1.661 Å, I = 15, (4 0 4); 1.611 Å, I = 15, (2 0 11); 1.287 Å, I = 18, (2 4 4)

---

Computed powder XRD pattern
Compound: Hg2AuSe
Radiation: CuKα
Structure: a cell relaxed with PBE

Cell and atoms:
```
data_Hg2AuSe
_chemical_formula_sum 'Hg2 Au1 Se1'
_cell_length_a 2.8582
_cell_length_b 4.0224
_cell_length_c 8.1571
_cell_angle_alpha 90.00
_cell_angle_beta 90.00
_cell_angle_gamma 90.00
_symmetry_space_group_name_H-M 'P m m 2'
_symmetry_Int_Tables_number 25
_symmetry_space_group_name_Hall 'P 2 -2'
loop_
_atom_site_label
_atom_site_type_symbol
_atom_site_fract_x
_atom_site_fract_y
_atom_site_fract_z
Hg1 Hg 0.0000 0.0000 0.0000
Hg2 Hg 0.5000 0.5000 0.2841
Au1 Au 0.5000 0.5000 0.7635
Se1 Se 0.0000 0.0000 0.5746
```

Most intense lines, 10 to 90 degrees two-theta, in order of rising 2θ:
8.157 Å, I = 15, (0 0 1); 3.608 Å, I = 10, (0 1 1); 2.864 Å, I = 100, (0 1 2); 2.341 Å, I = 57, (1 0 2); 2.330 Å, I = 61, (1 1 0); 2.039 Å, I = 15, (0 0 4); 2.011 Å, I = 20, (0 2 0); 1.535 Å, I = 24, (1 1 4); 1.525 Å, I = 30, (1 2 2); 1.432 Å, I = 10, (0 2 4); 1.279 Å, I = 17, (2 1 2); 1.274 Å, I = 8, (0 3 2)